This entry pairs a crystal structure of Li2MnNb3O8 with its theoretical powder diffraction line list. Radiation: Cu Ka. Structure: a structure optimized by DFT (GGA+U).
Peak positions follow from Bragg's law for the DFT cell and can differ from measured ones.

Principal peaks in the range 10° ≤ 2θ ≤ 90°, low angle first:
(hkl), two_theta, I/Imax
0 0 2, 17.28, 100.0
1 0 1, 18.81, 76.3
1 0 3, 31.10, 35.7
1 1 2, 34.05, 40.9
2 0 1, 34.90, 86.9
2 0 2, 38.15, 31.4
2 0 3, 43.12, 56.7
2 0 4, 49.39, 19.8
2 0 5, 56.68, 44.2
2 2 0, 60.36, 31.4

Cell and atoms:
a = 6.1345 Å, b = 6.1345 Å, c = 10.2616 Å
α = 90.00°, β = 90.00°, γ = 120.00°
Space group P6_3mc (No. 186)
Inequivalent atoms, fractional coordinates:
Li1 0.0000 0.0000 0.0000 (multiplicity 2)
Li2 0.3333 0.6667 0.3951 (multiplicity 2)
Mn1 0.3333 0.6667 0.0059 (multiplicity 2)
Nb1 0.1768 0.3536 0.7188 (multiplicity 6)
O1 0.0000 0.0000 0.3188 (multiplicity 2)
O2 0.0256 0.5128 0.8406 (multiplicity 6)
O3 0.1565 0.3130 0.1109 (multiplicity 6)
O4 0.3333 0.6667 0.5893 (multiplicity 2)